For NaCr2P2O9, a structure optimized by DFT (PBE+U) gives the simulated powder diffractogram in this record (Cu Kα (λ = 1.5418 Å)).
Peak positions follow from Bragg's law for the DFT cell and can differ from measured ones.

Crystal structure
```
NaCr2P2O9
1.0
13.987 0.000 0.000
0.000 6.402 0.000
0.000 0.000 7.677
Na Cr P O
4 8 8 36
Direct
0.221 0.250 0.145
0.279 0.750 0.645
0.721 0.250 0.355
0.779 0.750 0.855
0.000 0.000 0.000
0.000 0.500 0.000
0.118 0.250 0.653
0.382 0.750 0.153
0.500 0.000 0.500
0.500 0.500 0.500
0.618 0.250 0.847
0.882 0.750 0.347
0.060 0.750 0.651
0.195 0.750 0.101
0.305 0.250 0.601
0.440 0.250 0.151
0.560 0.750 0.849
0.695 0.750 0.399
0.805 0.250 0.899
0.940 0.250 0.349
0.008 0.750 0.835
0.018 0.250 0.488
0.048 0.250 0.855
0.126 0.559 0.644
0.126 0.941 0.644
0.132 0.552 0.089
0.132 0.948 0.089
0.222 0.250 0.465
0.244 0.250 0.772
0.256 0.750 0.272
0.278 0.750 0.965
0.368 0.052 0.589
0.368 0.448 0.589
0.374 0.059 0.144
0.374 0.441 0.144
0.452 0.750 0.355
0.482 0.750 0.988
0.492 0.250 0.335
0.508 0.750 0.665
0.518 0.250 0.012
0.548 0.250 0.645
0.626 0.559 0.856
0.626 0.941 0.856
0.632 0.552 0.411
0.632 0.948 0.411
0.722 0.250 0.035
0.744 0.250 0.728
0.756 0.750 0.228
0.778 0.750 0.535
0.868 0.052 0.911
0.868 0.448 0.911
0.874 0.059 0.356
0.874 0.441 0.356
0.952 0.750 0.145
0.982 0.750 0.512
0.992 0.250 0.165
```

Peak list (6 most intense, 10 to 80 degrees two-theta, by angle)
two_theta	I_rel
12.66	31.7
17.15	54.9
19.13	34.1
24.04	100.0
27.87	33.3
30.94	49.9